Calculated powder XRD pattern of Au2Se4I3 for copper Kα, from the GGA-PBE geometry in Alexandria.

Main lines, sorted by position (10° ≤ 2θ ≤ 90°):
2θ/deg  I/Imax
12.4  40
16.6  45
16.9  65
20.2  48
24.1  55
27.8  100
31.5  29
31.9  38
44.6  33
45.0  26

Cell and atoms:
```
Au2Se4I3
1.0
3.881 0.000 0.000
0.026 5.689 0.000
1.895 0.319 14.294
Au Se I
2 4 3
direct
0.122 0.211 0.261
0.878 0.789 0.739
0.321 0.756 0.856
0.432 0.858 0.628
0.568 0.142 0.372
0.679 0.244 0.144
0.306 0.259 0.887
0.500 0.500 0.500
0.694 0.741 0.113
```